[1]
# KBaFe2Br8
Computed XRD peak list, CuKα. Input: DFT lattice parameters and positions (GGA-PBE).
Kinematic intensities with the Lorentz-polarization factor, no thermal factor.

Structure:
```
data_KBaFe2Br8
_chemical_formula_sum 'K1 Ba1 Fe2 Br8'
_space_group_name_H-M_alt 'P -3'
_space_group_IT_number 147
_space_group_name_Hall '-P 3'
_cell_length_a 7.0384
_cell_length_b 7.0384
_cell_length_c 10.8236
_cell_angle_alpha 90.00
_cell_angle_beta 90.00
_cell_angle_gamma 120.00
loop_
_atom_site_label
_atom_site_type_symbol
_atom_site_fract_x
_atom_site_fract_y
_atom_site_fract_z
_atom_site_occupancy
K1 K 0.0000 0.0000 0.0000 1
Ba1 Ba 0.0000 0.0000 0.5000 1
Fe1 Fe 0.3333 0.6667 0.7703 1
Br1 Br 0.0036 0.3467 0.6998 1
Br2 Br 0.3333 0.6667 0.9875 1
```

Largest 10 diffraction maxima, by intensity, 10 to 90 degrees two-theta:
two_theta, I_rel
26.64, 100.0
30.30, 88.7
16.69, 70.8
44.60, 55.2
42.12, 43.1
21.96, 25.0
35.64, 22.1
56.65, 20.1
24.68, 19.4
30.47, 17.7

[2]
# Ba3FeS4Br
Computed XRD peak list, CuKα. Input: DFT lattice parameters and positions (GGA-PBE).
Kinematic intensities with the Lorentz-polarization factor, no thermal factor.

Structure:
```
data_Ba3FeS4Br
_chemical_formula_sum 'Ba12 Fe4 S16 Br4'
_space_group_name_H-M_alt 'P n m a'
_space_group_IT_number 62
_space_group_name_Hall '-P 2ac 2n'
_cell_length_a 12.5361
_cell_length_b 9.6710
_cell_length_c 8.6004
_cell_angle_alpha 90.00
_cell_angle_beta 90.00
_cell_angle_gamma 90.00
loop_
_atom_site_label
_atom_site_type_symbol
_atom_site_fract_x
_atom_site_fract_y
_atom_site_fract_z
_atom_site_occupancy
Ba1 Ba 0.0246 0.2500 0.0798 1
Ba2 Ba 0.1628 0.0217 0.5894 1
Fe1 Fe 0.1059 0.7500 0.3129 1
S1 S 0.0087 0.7500 0.5358 1
S2 S 0.0718 0.5510 0.1896 1
S3 S 0.2173 0.2500 0.8622 1
Br1 Br 0.2322 0.7500 0.8299 1
```

Largest 10 diffraction maxima, by intensity, 10 to 90 degrees two-theta:
two_theta, I_rel
28.68, 100.0
23.69, 88.3
22.25, 48.2
37.19, 41.3
31.28, 36.8
34.09, 35.9
30.35, 34.0
25.45, 30.3
39.26, 28.6
30.11, 22.9

[3]
# BaGaBr5
Computed XRD peak list, CuKα. Input: DFT lattice parameters and positions (GGA-PBE).
Kinematic intensities with the Lorentz-polarization factor, no thermal factor.

Structure:
```
data_BaGaBr5
_chemical_formula_sum 'Ba2 Ga2 Br10'
_space_group_name_H-M_alt 'P -1'
_space_group_IT_number 2
_space_group_name_Hall '-P 1'
_cell_length_a 7.9664
_cell_length_b 7.9793
_cell_length_c 11.0486
_cell_angle_alpha 108.16
_cell_angle_beta 108.10
_cell_angle_gamma 94.47
loop_
_atom_site_label
_atom_site_type_symbol
_atom_site_fract_x
_atom_site_fract_y
_atom_site_fract_z
_atom_site_occupancy
Ba1 Ba 0.0000 0.0000 0.0000 1
Ba2 Ba 0.5000 0.5000 0.5000 1
Ga1 Ga 0.1012 0.3983 0.7500 1
Br1 Br 0.1917 0.2576 0.5638 1
Br2 Br 0.1927 0.7133 0.8158 1
Br3 Br 0.2141 0.6916 0.3148 1
Br4 Br 0.2426 0.3066 0.9351 1
Br5 Br 0.3625 0.1374 0.2501 1
```

Largest 10 diffraction maxima, by intensity, 10 to 90 degrees two-theta:
two_theta, I_rel
23.65, 100.0
29.70, 40.0
17.64, 39.3
22.38, 38.8
17.32, 38.4
26.09, 37.7
35.94, 34.4
37.39, 32.5
28.01, 30.8
11.90, 28.5

[4]
# BaGa2Br6
Computed XRD peak list, CuKα. Input: DFT lattice parameters and positions (GGA-PBE).
Kinematic intensities with the Lorentz-polarization factor, no thermal factor.

Structure:
```
data_BaGa2Br6
_chemical_formula_sum 'Ba4 Ga8 Br24'
_space_group_name_H-M_alt 'C 1 2/c 1'
_space_group_IT_number 15
_space_group_name_Hall '-C 2yc'
_cell_length_a 15.1550
_cell_length_b 13.9675
_cell_length_c 6.9929
_cell_angle_alpha 90.00
_cell_angle_beta 97.15
_cell_angle_gamma 90.00
loop_
_atom_site_label
_atom_site_type_symbol
_atom_site_fract_x
_atom_site_fract_y
_atom_site_fract_z
_atom_site_occupancy
Ba1 Ba 0.0000 0.0953 0.2500 1
Ga1 Ga 0.0813 0.4293 0.2555 1
Br1 Br 0.1205 0.0797 0.6525 1
Br2 Br 0.1356 0.2871 0.1341 1
Br3 Br 0.1572 0.4398 0.5956 1
```

Largest 10 diffraction maxima, by intensity, 10 to 90 degrees two-theta:
two_theta, I_rel
28.16, 100.0
29.67, 68.5
12.68, 45.3
23.36, 42.3
28.58, 41.5
43.43, 40.9
23.67, 36.7
18.81, 33.9
14.81, 28.9
16.03, 28.7

[5]
# BaGa2Br6
Computed XRD peak list, CuKα. Input: DFT lattice parameters and positions (GGA-PBE).
Kinematic intensities with the Lorentz-polarization factor, no thermal factor.

Structure:
```
data_BaGa2Br6
_chemical_formula_sum 'Ba3 Ga6 Br18'
_space_group_name_H-M_alt 'R 3'
_space_group_IT_number 146
_space_group_name_Hall 'R 3'
_cell_length_a 7.6521
_cell_length_b 7.6521
_cell_length_c 24.4279
_cell_angle_alpha 90.00
_cell_angle_beta 90.00
_cell_angle_gamma 120.00
loop_
_atom_site_label
_atom_site_type_symbol
_atom_site_fract_x
_atom_site_fract_y
_atom_site_fract_z
_atom_site_occupancy
Ba1 Ba 0.0000 0.0000 0.0000 1
Ga1 Ga 0.0000 0.0000 0.2827 1
Ga2 Ga 0.0000 0.0000 0.3822 1
Br1 Br 0.0642 0.3555 0.0873 1
Br2 Br 0.0700 0.7178 0.9109 1
```

Largest 10 diffraction maxima, by intensity, 10 to 90 degrees two-theta:
two_theta, I_rel
25.73, 100.0
13.85, 51.8
40.81, 45.1
32.10, 28.0
15.21, 25.3
21.83, 21.1
10.87, 18.9
61.96, 12.8
32.65, 11.1
36.62, 10.9

[6]
# Ba4GaBr2
Computed XRD peak list, CuKα. Input: DFT lattice parameters and positions (GGA-PBE).
Kinematic intensities with the Lorentz-polarization factor, no thermal factor.

Structure:
```
data_Ba4GaBr2
_chemical_formula_sum 'Ba8 Ga2 Br4'
_space_group_name_H-M_alt 'P b a m'
_space_group_IT_number 55
_space_group_name_Hall '-P 2 2ab'
_cell_length_a 7.9555
_cell_length_b 16.9473
_cell_length_c 4.7416
_cell_angle_alpha 90.00
_cell_angle_beta 90.00
_cell_angle_gamma 90.00
loop_
_atom_site_label
_atom_site_type_symbol
_atom_site_fract_x
_atom_site_fract_y
_atom_site_fract_z
_atom_site_occupancy
Ba1 Ba 0.2217 0.1646 0.0000 1
Ba2 Ba 0.2499 0.4221 0.5000 1
Ga1 Ga 0.0000 0.0000 0.0000 1
Br1 Br 0.0162 0.7417 0.5000 1
```

Largest 10 diffraction maxima, by intensity, 10 to 90 degrees two-theta:
two_theta, I_rel
24.25, 100.0
31.19, 66.3
23.79, 57.2
37.05, 46.9
30.83, 29.7
40.40, 23.3
37.95, 22.8
45.29, 20.2
60.16, 18.2
60.76, 16.8

[7]
# Ba3GaBr3
Computed XRD peak list, CuKα. Input: DFT lattice parameters and positions (GGA-PBE).
Kinematic intensities with the Lorentz-polarization factor, no thermal factor.

Structure:
```
data_Ba3GaBr3
_chemical_formula_sum 'Ba24 Ga8 Br24'
_space_group_name_H-M_alt 'I 41 3 2'
_space_group_IT_number 214
_space_group_name_Hall 'I 4bd 2c 3'
_cell_length_a 13.6299
_cell_length_b 13.6299
_cell_length_c 13.6299
_cell_angle_alpha 90.00
_cell_angle_beta 90.00
_cell_angle_gamma 90.00
loop_
_atom_site_label
_atom_site_type_symbol
_atom_site_fract_x
_atom_site_fract_y
_atom_site_fract_z
_atom_site_occupancy
Ba1 Ba 0.1240 0.1250 0.8740 1
Ga1 Ga 0.1250 0.1250 0.1250 1
Br1 Br 0.1194 0.3750 0.3694 1
```

Largest 10 diffraction maxima, by intensity, 10 to 90 degrees two-theta:
two_theta, I_rel
26.15, 100.0
37.32, 77.0
60.78, 35.8
46.14, 27.6
67.31, 26.3
85.49, 17.4
15.93, 15.4
53.81, 13.0
79.57, 8.2
24.44, 7.3

[8]
# Ba2GaPtBr
Computed XRD peak list, CuKα. Input: DFT lattice parameters and positions (GGA-PBE).
Kinematic intensities with the Lorentz-polarization factor, no thermal factor.

Structure:
```
data_Ba2GaPtBr
_chemical_formula_sum 'Ba2 Ga1 Pt1 Br1'
_space_group_name_H-M_alt 'P 4/m m m'
_space_group_IT_number 123
_space_group_name_Hall '-P 4 2'
_cell_length_a 6.2524
_cell_length_b 6.2524
_cell_length_c 4.7744
_cell_angle_alpha 90.00
_cell_angle_beta 90.00
_cell_angle_gamma 90.00
loop_
_atom_site_label
_atom_site_type_symbol
_atom_site_fract_x
_atom_site_fract_y
_atom_site_fract_z
_atom_site_occupancy
Ba1 Ba 0.0000 0.5000 0.0000 1
Ga1 Ga 0.0000 0.0000 0.5000 1
Pt1 Pt 0.0000 0.0000 0.0000 1
Br1 Br 0.5000 0.5000 0.5000 1
```

Largest 10 diffraction maxima, by intensity, 10 to 90 degrees two-theta:
two_theta, I_rel
28.55, 100.0
47.95, 47.6
14.17, 45.1
40.82, 38.0
23.44, 34.9
18.58, 33.3
27.50, 31.2
34.29, 29.6
56.76, 28.8
37.68, 23.8

[9]
# Ba3GaS4Br
Computed XRD peak list, CuKα. Input: DFT lattice parameters and positions (GGA-PBE).
Kinematic intensities with the Lorentz-polarization factor, no thermal factor.

Structure:
```
data_Ba3GaS4Br
_chemical_formula_sum 'Ba12 Ga4 S16 Br4'
_space_group_name_H-M_alt 'P n m a'
_space_group_IT_number 62
_space_group_name_Hall '-P 2ac 2n'
_cell_length_a 12.5668
_cell_length_b 9.7238
_cell_length_c 8.6230
_cell_angle_alpha 90.00
_cell_angle_beta 90.00
_cell_angle_gamma 90.00
loop_
_atom_site_label
_atom_site_type_symbol
_atom_site_fract_x
_atom_site_fract_y
_atom_site_fract_z
_atom_site_occupancy
Ba1 Ba 0.0252 0.2500 0.0816 1
Ba2 Ba 0.1632 0.0209 0.5891 1
Ga1 Ga 0.1059 0.7500 0.3106 1
S1 S 0.0077 0.7500 0.5352 1
S2 S 0.0712 0.5496 0.1874 1
S3 S 0.2148 0.2500 0.8592 1
Br1 Br 0.2316 0.7500 0.8318 1
```

Largest 10 diffraction maxima, by intensity, 10 to 90 degrees two-theta:
two_theta, I_rel
28.57, 100.0
23.63, 87.3
22.15, 43.8
36.98, 42.9
30.28, 42.8
25.36, 34.3
31.17, 31.7
33.97, 31.0
39.13, 26.9
42.59, 24.3

[10]
# Ba4GeBr4
Computed XRD peak list, CuKα. Input: DFT lattice parameters and positions (GGA-PBE).
Kinematic intensities with the Lorentz-polarization factor, no thermal factor.

Structure:
```
data_Ba4GeBr4
_chemical_formula_sum 'Ba8 Ge2 Br8'
_space_group_name_H-M_alt 'C 1 2/m 1'
_space_group_IT_number 12
_space_group_name_Hall '-C 2y'
_cell_length_a 16.3835
_cell_length_b 4.8589
_cell_length_c 11.9146
_cell_angle_alpha 90.00
_cell_angle_beta 120.92
_cell_angle_gamma 90.00
loop_
_atom_site_label
_atom_site_type_symbol
_atom_site_fract_x
_atom_site_fract_y
_atom_site_fract_z
_atom_site_occupancy
Ba1 Ba 0.0795 0.0000 0.3946 1
Ba2 Ba 0.1968 0.5000 0.7778 1
Ge1 Ge 0.0000 0.5000 0.5000 1
Br1 Br 0.1257 0.0000 0.8973 1
Br2 Br 0.2042 0.5000 0.3133 1
```

Largest 10 diffraction maxima, by intensity, 10 to 90 degrees two-theta:
two_theta, I_rel
25.71, 100.0
36.97, 54.0
26.31, 47.6
37.29, 36.5
45.97, 20.4
11.02, 19.9
36.35, 15.0
29.58, 10.6
52.84, 10.1
67.43, 9.8

[11]
# Ba4Ge2PbSe8Br2
Computed XRD peak list, CuKα. Input: DFT lattice parameters and positions (GGA-PBE).
Kinematic intensities with the Lorentz-polarization factor, no thermal factor.

Structure:
```
data_Ba4Ge2PbSe8Br2
_chemical_formula_sum 'Ba8 Ge4 Pb2 Se16 Br4'
_space_group_name_H-M_alt 'P m n 21'
_space_group_IT_number 31
_space_group_name_Hall 'P 2ac -2'
_cell_length_a 9.5852
_cell_length_b 12.6422
_cell_length_c 9.2696
_cell_angle_alpha 90.00
_cell_angle_beta 90.00
_cell_angle_gamma 90.00
loop_
_atom_site_label
_atom_site_type_symbol
_atom_site_fract_x
_atom_site_fract_y
_atom_site_fract_z
_atom_site_occupancy
Ba1 Ba 0.2425 0.0783 0.0000 1
Ba2 Ba 0.2438 0.5742 0.7019 1
Ge1 Ge 0.0000 0.3411 0.9123 1
Ge2 Ge 0.0000 0.8541 0.8021 1
Pb1 Pb 0.0000 0.7384 0.1437 1
Se1 Se 0.0000 0.0358 0.7350 1
Se2 Se 0.0000 0.2457 0.1347 1
Se3 Se 0.0000 0.5314 0.9689 1
Se4 Se 0.0000 0.7523 0.5874 1
Se5 Se 0.2051 0.8109 0.9357 1
Se6 Se 0.2256 0.3170 0.8179 1
Br1 Br 0.0000 0.4628 0.4620 1
Br2 Br 0.0000 0.9718 0.2542 1
```

Largest 10 diffraction maxima, by intensity, 10 to 90 degrees two-theta:
two_theta, I_rel
27.69, 100.0
37.51, 43.5
30.34, 41.8
29.87, 41.1
29.83, 32.2
41.52, 29.5
13.29, 22.3
11.59, 20.6
48.69, 19.8
61.85, 18.2